No. 1
Diffraction record for K2Tm2SnS6. The PXRD pattern is calculated, not measured: it uses a crystal structure in Alexandria, relaxed with PBE and Cu Kα.
Intensities are scaled so that the largest is 100.

Crystal structure
Lattice parameters (Å, degrees): 6.745 6.745 7.922 98.25 98.25 119.83
Positions (direct):
K 0.169 0.831 0.000
K 0.831 0.169 0.000
Tm 0.332 0.668 0.500
Tm 0.668 0.332 0.500
Sn 0.000 0.000 0.500
S 0.066 0.389 0.694
S 0.253 0.253 0.309
S 0.389 0.066 0.694
S 0.611 0.934 0.306
S 0.747 0.747 0.691
S 0.934 0.611 0.306

Peak list (10 most intense, 2θ from 10° to 80°, sorted by position)
d (Å), Position (°2θ), I (rel.)
7.591, 11.66, 100
3.795, 23.44, 15
3.339, 26.70, 27
3.236, 27.56, 24
2.910, 30.73, 27
2.900, 30.83, 54
2.340, 38.47, 15
2.176, 41.50, 29
1.950, 46.56, 17
1.889, 48.16, 15


No. 2
Diffraction record for K2SrZr3S8. The PXRD pattern is calculated, not measured: it uses a crystal structure in Alexandria, relaxed with PBE and Cu Kα.
Intensities are scaled so that the largest is 100.

Crystal structure
Lattice parameters (Å, degrees): 8.707 8.707 8.707 53.08 53.08 53.08
Positions (direct):
K 0.000 0.000 0.000
K 0.362 0.362 0.362
Sr 0.624 0.624 0.624
Zr 0.000 0.000 0.492
Zr 0.000 0.492 0.000
Zr 0.492 0.000 0.000
S 0.200 0.743 0.743
S 0.228 0.228 0.228
S 0.259 0.259 0.796
S 0.259 0.796 0.259
S 0.743 0.200 0.743
S 0.743 0.743 0.200
S 0.764 0.764 0.764
S 0.796 0.259 0.259

Peak list (10 most intense, 2θ from 10° to 80°, sorted by position)
d (Å), Position (°2θ), I (rel.)
7.458, 11.87, 100
4.304, 20.64, 48
3.728, 23.87, 41
3.449, 25.83, 87
3.331, 26.76, 60
2.886, 30.99, 86
2.319, 38.84, 88
2.152, 41.99, 90
1.945, 46.69, 78
1.443, 64.58, 38


No. 3
Diffraction record for KTaS5. The PXRD pattern is calculated, not measured: it uses a crystal structure in Alexandria, relaxed with PBE and Cu Kα.
Intensities are scaled so that the largest is 100.

Crystal structure
Lattice parameters (Å, degrees): 15.727 6.499 15.773 90.00 119.65 90.00
Positions (direct):
K 0.147 0.138 0.081
K 0.147 0.362 0.581
K 0.350 0.634 0.437
K 0.350 0.866 0.937
K 0.650 0.134 0.063
K 0.650 0.366 0.563
K 0.853 0.638 0.419
K 0.853 0.862 0.919
Ta 0.034 0.081 0.743
Ta 0.034 0.419 0.243
Ta 0.465 0.578 0.210
Ta 0.465 0.922 0.710
Ta 0.535 0.078 0.290
Ta 0.535 0.422 0.790
Ta 0.966 0.581 0.757
Ta 0.966 0.919 0.257
S 0.040 0.636 0.377
S 0.040 0.864 0.877
S 0.052 0.583 0.108
S 0.052 0.917 0.608
S 0.108 0.746 0.736
S 0.108 0.754 0.236
S 0.121 0.148 0.371
S 0.121 0.352 0.871
S 0.198 0.236 0.806
S 0.198 0.264 0.306
S 0.300 0.729 0.116
S 0.300 0.771 0.616
S 0.382 0.651 0.757
S 0.382 0.849 0.257
S 0.391 0.242 0.131
S 0.391 0.258 0.631
S 0.443 0.086 0.555
S 0.443 0.414 0.055
S 0.463 0.140 0.840
S 0.463 0.360 0.340
S 0.537 0.640 0.660
S 0.537 0.860 0.160
S 0.557 0.586 0.945
S 0.557 0.914 0.445
S 0.609 0.742 0.369
S 0.609 0.758 0.869
S 0.618 0.151 0.743
S 0.618 0.349 0.243
S 0.700 0.229 0.384
S 0.700 0.271 0.884
S 0.802 0.736 0.694
S 0.802 0.764 0.194
S 0.879 0.648 0.129
S 0.879 0.852 0.629
S 0.892 0.246 0.764
S 0.892 0.254 0.264
S 0.948 0.083 0.392
S 0.948 0.417 0.892
S 0.960 0.136 0.123
S 0.960 0.364 0.623

Peak list (10 most intense, 2θ from 10° to 80°, sorted by position)
d (Å), Position (°2θ), I (rel.)
6.832, 12.96, 100
4.040, 22.00, 10
3.949, 22.52, 11
3.279, 27.20, 6
2.934, 30.46, 5
2.751, 32.55, 10
2.706, 33.10, 8
2.644, 33.91, 7
2.470, 36.37, 6
2.300, 39.18, 6


No. 4
Diffraction record for K4Ta2S11. The PXRD pattern is calculated, not measured: it uses a crystal structure in Alexandria, relaxed with PBE and Cu Kα.
Intensities are scaled so that the largest is 100.

Crystal structure
Lattice parameters (Å, degrees): 7.603 11.645 11.992 68.84 86.49 85.47
Positions (direct):
K 0.028 0.312 0.154
K 0.244 0.869 0.507
K 0.270 0.847 0.053
K 0.286 0.463 0.387
K 0.714 0.537 0.613
K 0.730 0.153 0.947
K 0.756 0.131 0.493
K 0.972 0.688 0.846
Ta 0.145 0.368 0.796
Ta 0.234 0.147 0.659
Ta 0.766 0.853 0.341
Ta 0.855 0.632 0.204
S 0.009 0.319 0.633
S 0.013 0.984 0.256
S 0.112 0.583 0.120
S 0.154 0.138 0.898
S 0.211 0.564 0.634
S 0.232 0.916 0.759
S 0.265 0.161 0.465
S 0.311 0.232 0.970
S 0.334 0.532 0.796
S 0.433 0.306 0.664
S 0.463 0.876 0.271
S 0.537 0.124 0.729
S 0.567 0.694 0.336
S 0.666 0.468 0.204
S 0.689 0.768 0.030
S 0.735 0.839 0.535
S 0.768 0.084 0.241
S 0.789 0.436 0.366
S 0.846 0.862 0.102
S 0.888 0.417 0.880
S 0.987 0.016 0.744
S 0.991 0.681 0.367

Peak list (10 most intense, 2θ from 10° to 80°, sorted by position)
d (Å), Position (°2θ), I (rel.)
7.575, 11.68, 20
6.678, 13.26, 58
6.383, 13.87, 100
6.170, 14.35, 29
5.588, 15.86, 17
4.855, 18.27, 14
3.792, 23.46, 27
3.270, 27.27, 19
2.951, 30.28, 13
2.762, 32.41, 14


No. 5
Diffraction record for K8TaS6. The PXRD pattern is calculated, not measured: it uses a crystal structure in Alexandria, relaxed with PBE and Cu Kα.
Intensities are scaled so that the largest is 100.

Crystal structure
Lattice parameters (Å, degrees): 8.566 9.097 13.650 90.00 90.00 90.00
Positions (direct):
K 0.000 0.116 0.000
K 0.000 0.182 0.437
K 0.197 0.611 0.124
K 0.220 0.904 0.747
K 0.230 0.543 0.854
K 0.270 0.457 0.354
K 0.280 0.096 0.247
K 0.303 0.389 0.624
K 0.500 0.818 0.937
K 0.500 0.884 0.500
K 0.697 0.389 0.624
K 0.720 0.096 0.247
K 0.730 0.457 0.354
K 0.770 0.543 0.854
K 0.780 0.904 0.747
K 0.803 0.611 0.124
Ta 0.000 0.754 0.443
Ta 0.500 0.246 0.943
S 0.000 0.319 0.216
S 0.000 0.516 0.512
S 0.000 0.767 0.946
S 0.000 0.921 0.571
S 0.218 0.791 0.345
S 0.282 0.209 0.845
S 0.500 0.079 0.071
S 0.500 0.233 0.446
S 0.500 0.484 0.012
S 0.500 0.681 0.716
S 0.718 0.209 0.845
S 0.782 0.791 0.345

Peak list (10 most intense, 2θ from 10° to 80°, sorted by position)
d (Å), Position (°2θ), I (rel.)
7.570, 11.69, 56
7.256, 12.20, 100
6.825, 12.97, 58
6.237, 14.20, 60
4.604, 19.28, 57
3.854, 23.08, 35
3.628, 24.54, 80
2.669, 33.58, 38
2.173, 41.57, 33
2.140, 42.23, 32